[1]
Structure and theoretical XRD peak list of Rb7HgBr2O2 (a cell relaxed with PBE; Cu Kα (weighted mean of Kα1 and Kα2)).

Main lines, low angle first (15 to 90 degrees two-theta):
d = 4.317 Å, intensity 34
d = 4.092 Å, intensity 29
d = 3.920 Å, intensity 32
d = 3.715 Å, intensity 27
d = 3.510 Å, intensity 98
d = 3.263 Å, intensity 61
d = 3.048 Å, intensity 100
d = 2.815 Å, intensity 54
d = 2.731 Å, intensity 43
d = 2.451 Å, intensity 40
d = 1.960 Å, intensity 29
d = 1.824 Å, intensity 25

Crystal structure
Lattice parameters (Å, degrees): 4.903 27.309 7.429 90.00 90.00 90.00
Space group Imm2 (No. 44)
Unique sites:
Rb: 0.000 0.000 0.000
Rb: 0.000 0.095 0.601
Rb: 0.000 0.207 0.914
Rb: 0.000 0.385 0.611
Hg: 0.000 0.500 0.926
Br: 0.000 0.206 0.401
O: 0.000 0.105 0.942

[2]
Structure and theoretical XRD peak list of Tb3Th4Sc2 (a cell relaxed with PBE; Cu Kα (weighted mean of Kα1 and Kα2)).

Main lines, low angle first (15 to 90 degrees two-theta):
d = 5.594 Å, intensity 15
d = 2.884 Å, intensity 32
d = 2.866 Å, intensity 100
d = 2.854 Å, intensity 32
d = 2.629 Å, intensity 41
d = 2.419 Å, intensity 39
d = 1.787 Å, intensity 16
d = 1.774 Å, intensity 20
d = 1.710 Å, intensity 23
d = 1.560 Å, intensity 16
d = 1.473 Å, intensity 13
d = 1.466 Å, intensity 22

Crystal structure
Lattice parameters (Å, degrees): 16.106 10.256 6.846 90.00 101.62 90.00
Space group C2/c (No. 15)
Unique sites:
Tb: 0.000 0.017 0.250
Tb: 0.164 0.493 0.826
Th: 0.000 0.320 0.003
Th: 0.170 0.161 0.839
Sc: 0.177 0.182 0.337